# LiV4O5F7
Theoretical XRD peak list, λ = 1.5418 Å (Cu Kα). Input: a PBE+U-relaxed structure.

Structural model:
```
LiV4O5F7
1.0
5.166 0.000 0.000
-2.559 4.699 0.000
-0.111 -2.714 8.541
Li V O F
1 4 5 7
Direct
0.000 0.000 0.000 Li
0.041 0.102 0.353 V
0.357 0.665 0.089 V
0.533 0.128 0.849 V
0.774 0.602 0.583 V
0.308 0.856 0.965 O
0.409 0.371 0.919 O
0.409 0.394 0.509 O
0.744 0.863 0.163 O
0.868 0.897 0.473 O
0.227 0.853 0.668 F
0.252 0.881 0.269 F
0.264 0.349 0.205 F
0.745 0.866 0.779 F
0.782 0.350 0.709 F
0.893 0.332 0.010 F
0.897 0.388 0.412 F
```

Largest 8 diffraction maxima, by angle, 15° ≤ 2θ ≤ 90°:
(hkl)  2θ (°)  d_spacing  I (rel.)
-1 1 1  23.73  3.750  96
1 0 1  23.88  3.726  100
0 1 -2  24.05  3.700  95
1 1 -3  40.32  2.237  27
-2 2 2  48.56  1.875  20
2 0 2  48.88  1.863  19
0 2 -4  49.25  1.850  18
2 -3 0  54.22  1.692  25